# CuNiAuO4
Computed X-ray powder pattern, Cu Kα (weighted mean of Kα1 and Kα2). Input: DFT lattice parameters and positions (GGA+U).
Peak positions follow from Bragg's law for the DFT cell and can differ from measured ones.

Principal peaks in the range 10° ≤ 2θ ≤ 90°, in order of falling intensity:
(hkl), Position (°2θ), intensity
1 2 1, 33.81, 100.0
1 0 1, 18.10, 95.9
1 0 3, 34.70, 52.0
2 2 4, 60.67, 44.0
0 2 2, 35.30, 34.7
2 2 0, 41.70, 31.5
3 2 1, 55.71, 25.3
2 0 0, 29.97, 23.8
3 0 1, 46.95, 23.7
2 0 2, 36.67, 23.1

```
data_CuNiAuO4
_chemical_formula_sum 'Cu4 Ni4 Au4 O16'
_cell_length_a 5.9628
_cell_length_b 6.3035
_cell_length_c 8.6061
_cell_angle_alpha 90.00
_cell_angle_beta 90.00
_cell_angle_gamma 90.00
_symmetry_space_group_name_H-M 'I m m a'
_symmetry_Int_Tables_number 74
_symmetry_space_group_name_Hall '-I 2b 2'
loop_
_atom_site_label
_atom_site_fract_x
_atom_site_fract_y
_atom_site_fract_z
Cu1 0.0000 0.2500 0.1420
Ni1 0.2500 0.2500 0.7500
Au1 0.0000 0.0000 0.5000
O1 0.0000 0.0240 0.7393
O2 0.2411 0.2500 0.5015
```